No. 1
Diffraction record for Pm8Er3Tm2. The powder XRD pattern is simulated, not measured: it uses a cell relaxed with GGA-PBE and copper Kα.
No peak broadening, texture or thermal motion is included.

Peak list (6 most intense, 2θ = 10–90°, in order of rising 2θ)
h k l  2theta  I (rel.)
2 2 0  24.73  237
5 1 1  29.52  384
6 0 -1  30.90  332
0 0 2  31.43  439
4 2 -1  33.22  1000
4 2 -3  57.10  213

Cell and atoms:
Lattice parameters (Å, degrees): 20.1610 7.7095 5.6931 90.00 90.01 90.00
Space group C2/m (No. 12)
Inequivalent atoms, fractional coordinates:
Pm: 0.1065 0.2052 0.0001 [8 per cell]
Pm: 0.1311 0.5000 0.4997 [4 per cell]
Pm: 0.1729 0.0000 0.5004 [4 per cell]
Er: 0.0000 0.2139 0.5000 [4 per cell]
Er: 0.0000 0.5000 0.0000 [2 per cell]
Tm: 0.2397 0.5000 0.9994 [4 per cell]

No. 2
Diffraction record for PmEr10Tm4. The powder XRD pattern is simulated, not measured: it uses a cell relaxed with GGA-PBE and copper Kα.
No peak broadening, texture or thermal motion is included.

Peak list (6 most intense, 2θ = 10–90°, in order of rising 2θ)
h k l  2theta  I (rel.)
2 1 1  20.24  254
4 2 0  33.34  1000
5 0 1  39.32  141
2 6 0  47.87  183
7 1 2  59.59  381
10 0 0  79.81  165

Cell and atoms:
Lattice parameters (Å, degrees): 12.0191 12.0191 7.5987 90.00 90.00 90.00
Space group I4/m (No. 87)
Inequivalent atoms, fractional coordinates:
Pm: 0.0000 0.0000 0.0000 [2 per cell]
Er: 0.0000 0.5000 0.2500 [4 per cell]
Er: 0.1013 0.7989 0.2527 [16 per cell]
Tm: 0.0994 0.3014 0.5000 [8 per cell]

No. 3
Diffraction record for Pm8ErTm5. The powder XRD pattern is simulated, not measured: it uses a cell relaxed with GGA-PBE and copper Kα.
No peak broadening, texture or thermal motion is included.

Peak list (6 most intense, 2θ = 10–90°, in order of rising 2θ)
h k l  2theta  I (rel.)
1 3 -1  27.81  599
3 1 -3  29.17  708
4 0 -1  29.32  667
3 3 -2  33.57  1000
4 2 -1  34.29  457
4 6 -1  62.55  275

Cell and atoms:
Lattice parameters (Å, degrees): 13.5916 10.2064 9.6217 90.00 134.85 90.00
Space group C2 (No. 5)
Inequivalent atoms, fractional coordinates:
Pm: 0.0681 0.0000 0.2407 [4 per cell]
Pm: 0.0908 0.6585 0.4141 [4 per cell]
Pm: 0.1731 0.3113 0.1044 [4 per cell]
Pm: 0.1763 0.1527 0.7655 [4 per cell]
Er: 0.0000 0.6553 0.0000 [2 per cell]
Tm: 0.0000 0.9054 0.5000 [2 per cell]
Tm: 0.1088 0.3322 0.4047 [4 per cell]
Tm: 0.2040 0.4799 0.8132 [4 per cell]